Starting from a DFT-relaxed cell (GGA+U, Alexandria), the powder X-ray diffraction pattern of Ho2MnRuO7 was computed for CuKα.
Kinematic intensities with the Lorentz-polarization factor, no thermal factor.

Structure:
```
data_Ho2MnRuO7
_cell_length_a 7.138
_cell_length_b 7.169
_cell_length_c 10.142
_cell_angle_alpha 90.00
_cell_angle_beta 90.00
_cell_angle_gamma 90.00
_symmetry_space_group_name_H-M 'I m m a'
_symmetry_Int_Tables_number 74
_symmetry_space_group_name_Hall '-I 2b 2'
loop_
_atom_site_label
_atom_site_fract_x
_atom_site_fract_y
_atom_site_fract_z
_atom_site_occupancy
Ho1 0.000 0.000 0.000 1
Ho2 0.250 0.250 0.250 1
Mn1 0.250 0.250 0.750 1
Ru1 0.000 0.000 0.500 1
O1 0.000 0.250 0.124 1
O2 0.000 0.250 0.410 1
O3 0.000 0.250 0.830 1
O4 0.211 0.042 0.626 1
```

Principal peaks in the range 2θ = 5–70°, by angle:
| two_theta | I/Imax |
| --- | --- |
| 15.1 | 13 |
| 30.6 | 100 |
| 35.5 | 32 |
| 38.8 | 9 |
| 51.0 | 39 |
| 51.2 | 8 |
| 60.6 | 28 |
| 60.8 | 14 |
| 63.6 | 5 |
| 63.8 | 5 |